# 1
Calculated powder X-ray diffraction pattern of Sc2NiOs for Cu Kα, 1.54184 Å, from a crystal structure in the Materials Project, relaxed with GGA-PBE.
Kinematic intensities with the Lorentz-polarization factor, no thermal factor.

Main lines, sorted by position (2θ = 10–80°):
| (hkl) | two_theta | I (rel.) |
| --- | --- | --- |
| 1 1 1 | 24.1 | 30 |
| 2 0 0 | 27.9 | 29 |
| 2 2 0 | 39.8 | 100 |
| 3 1 1 | 47.1 | 16 |
| 4 0 0 | 57.6 | 16 |
| 4 2 2 | 72.3 | 33 |

Crystal structure
```
data_Sc2NiOs
_symmetry_space_group_name_H-M 'F m -3 m'
_symmetry_Int_Tables_number 225
_symmetry_space_group_name_Hall '-F 4 2 3'
_cell_length_a 6.400
_cell_length_b 6.400
_cell_length_c 6.400
_cell_angle_alpha 90.00
_cell_angle_beta 90.00
_cell_angle_gamma 90.00
loop_
_atom_site_label
_atom_site_fract_x
_atom_site_fract_y
_atom_site_fract_z
Sc1 0.250 0.250 0.250
Ni1 0.000 0.000 0.000
Os1 0.000 0.000 0.500
```

# 2
Calculated powder X-ray diffraction pattern of NiP for Cu Kα, 1.54184 Å, from a crystal structure in the Materials Project, relaxed with GGA-PBE.
Kinematic intensities with the Lorentz-polarization factor, no thermal factor.

Main lines, sorted by position (2θ = 10–80°):
| (hkl) | two_theta | I (rel.) |
| --- | --- | --- |
| 7 1 0 | 30.0 | 85 |
| 0 2 1 | 35.2 | 35 |
| 7 1 2 | 48.0 | 100 |
| 3 3 1 | 50.8 | 29 |
| 10 2 1 | 52.3 | 25 |
| 14 0 0 | 53.3 | 26 |

Crystal structure
```
data_NiP
_symmetry_space_group_name_H-M 'C m c 21'
_symmetry_Int_Tables_number 36
_symmetry_space_group_name_Hall 'C 2c -2'
_cell_length_a 24.048
_cell_length_b 5.966
_cell_length_c 4.908
_cell_angle_alpha 90.00
_cell_angle_beta 90.00
_cell_angle_gamma 90.00
loop_
_atom_site_label
_atom_site_fract_x
_atom_site_fract_y
_atom_site_fract_z
Ni1 0.000 0.051 0.020
Ni2 0.062 0.447 0.046
Ni3 0.149 0.056 0.533
Ni4 0.206 0.441 0.500
P1 0.000 0.313 0.357
P2 0.069 0.184 0.718
P3 0.145 0.308 0.189
P4 0.211 0.193 0.844
```

# 3
Calculated powder X-ray diffraction pattern of NiP4 for Cu Kα, 1.54184 Å, from a crystal structure in the Materials Project, relaxed with GGA-PBE.
Kinematic intensities with the Lorentz-polarization factor, no thermal factor.

Main lines, sorted by position (2θ = 10–80°):
| (hkl) | two_theta | I (rel.) |
| --- | --- | --- |
| 1 2 -1 | 24.3 | 13 |
| 1 3 1 | 31.6 | 100 |
| 1 3 -2 | 34.9 | 23 |
| 2 1 -3 | 50.2 | 13 |
| 2 0 2 | 51.4 | 17 |
| 0 5 3 | 51.5 | 13 |

Crystal structure
```
data_NiP4
_symmetry_space_group_name_H-M 'P 1 21/c 1'
_symmetry_Int_Tables_number 14
_symmetry_space_group_name_Hall '-P 2ybc'
_cell_length_a 4.792
_cell_length_b 14.020
_cell_length_c 7.011
_cell_angle_alpha 90.00
_cell_angle_beta 101.59
_cell_angle_gamma 90.00
loop_
_atom_site_label
_atom_site_fract_x
_atom_site_fract_y
_atom_site_fract_z
Ni1 0.000 0.000 0.000
Ni2 0.140 0.170 0.383
P1 0.078 0.728 0.871
P2 0.209 0.552 0.253
P3 0.258 0.615 0.703
P4 0.355 0.107 0.141
P5 0.376 0.054 0.574
P6 0.500 0.218 0.957
```

# 4
Calculated powder X-ray diffraction pattern of NiP2 for Cu Kα, 1.54184 Å, from a crystal structure in the Materials Project, relaxed with GGA-PBE.
Kinematic intensities with the Lorentz-polarization factor, no thermal factor.

Main lines, sorted by position (2θ = 10–80°):
| (hkl) | two_theta | I (rel.) |
| --- | --- | --- |
| 1 1 -1 | 23.4 | 37 |
| 2 0 0 | 31.6 | 100 |
| 1 1 1 | 33.5 | 45 |
| 2 0 -2 | 34.7 | 34 |
| 1 3 -1 | 52.0 | 38 |
| 1 1 -3 | 52.6 | 36 |

Crystal structure
```
data_NiP2
_symmetry_space_group_name_H-M 'C 1 2/c 1'
_symmetry_Int_Tables_number 15
_symmetry_space_group_name_Hall '-C 2yc'
_cell_length_a 6.482
_cell_length_b 5.615
_cell_length_c 5.634
_cell_angle_alpha 90.00
_cell_angle_beta 119.22
_cell_angle_gamma 90.00
loop_
_atom_site_label
_atom_site_fract_x
_atom_site_fract_y
_atom_site_fract_z
Ni1 0.250 0.250 0.000
P1 0.196 0.115 0.333
```

# 5
Calculated powder X-ray diffraction pattern of NiP for Cu Kα, 1.54184 Å, from a crystal structure in the Materials Project, relaxed with GGA-PBE.
Kinematic intensities with the Lorentz-polarization factor, no thermal factor.

Main lines, sorted by position (2θ = 10–80°):
| (hkl) | two_theta | I (rel.) |
| --- | --- | --- |
| 3 1 0 | 30.4 | 97 |
| 3 1 1 | 35.5 | 32 |
| 0 2 2 | 47.8 | 47 |
| 3 1 2 | 47.9 | 100 |
| 1 3 1 | 50.6 | 40 |
| 4 2 1 | 50.8 | 40 |

Crystal structure
```
data_NiP
_symmetry_space_group_name_H-M 'C m c 21'
_symmetry_Int_Tables_number 36
_symmetry_space_group_name_Hall 'C 2c -2'
_cell_length_a 10.162
_cell_length_b 5.914
_cell_length_c 4.969
_cell_angle_alpha 90.00
_cell_angle_beta 90.00
_cell_angle_gamma 90.00
loop_
_atom_site_label
_atom_site_fract_x
_atom_site_fract_y
_atom_site_fract_z
Ni1 0.000 0.054 0.000
Ni2 0.147 0.444 0.028
P1 0.000 0.312 0.341
P2 0.161 0.186 0.694
```

# 6
Calculated powder X-ray diffraction pattern of Ni8P3 for Cu Kα, 1.54184 Å, from a crystal structure in the Materials Project, relaxed with GGA-PBE.
Kinematic intensities with the Lorentz-polarization factor, no thermal factor.

Main lines, sorted by position (2θ = 10–80°):
| (hkl) | two_theta | I (rel.) |
| --- | --- | --- |
| 2 1 1 | 42.0 | 25 |
| 2 1 4 | 43.1 | 16 |
| 1 1 15 | 45.3 | 100 |
| 2 0 14 | 46.3 | 29 |
| 3 0 0 | 47.9 | 66 |
| 1 2 14 | 54.4 | 16 |

Crystal structure
```
data_Ni8P3
_symmetry_space_group_name_H-M 'R -3 c'
_symmetry_Int_Tables_number 167
_symmetry_space_group_name_Hall '-R 3 2"c'
_cell_length_a 6.5767
_cell_length_b 6.5767
_cell_length_c 37.9192
_cell_angle_alpha 90.00
_cell_angle_beta 90.00
_cell_angle_gamma 120.00
loop_
_atom_site_label
_atom_site_fract_x
_atom_site_fract_y
_atom_site_fract_z
Ni1 0.0000 0.0000 0.0582
Ni2 0.0000 0.0000 0.2187
Ni3 0.0006 0.2328 0.1131
Ni4 0.0068 0.3672 0.8500
P1 0.0000 0.0000 0.0000
P2 0.0000 0.0000 0.1588
P3 0.0000 0.3179 0.2500
```